No. 1
Simulated powder diffraction line list
Compound: ScCd4
Radiation: copper Kα
Structure: a cell relaxed with GGA-PBE

```
data_ScCd4
_cell_length_a 6.882
_cell_length_b 6.882
_cell_length_c 4.650
_cell_angle_alpha 90.00
_cell_angle_beta 90.00
_cell_angle_gamma 90.00
_space_group_name_H-M_alt 'I 4/m'
_space_group_IT_number 87
_space_group_name_Hall '-I 4'
loop_
_atom_site_label
_atom_site_fract_x
_atom_site_fract_y
_atom_site_fract_z
Sc1 0.000 0.000 0.000
Cd1 0.086 0.702 0.500
```

The 10 most intense peaks (10 to 90 degrees two-theta), by angle:
hkl	2theta	d (Å)	I/Imax
1 1 0	18.23	4.867	5.1
1 0 1	23.08	3.853	8.0
1 2 1	34.96	2.567	100.0
0 0 2	38.73	2.325	19.1
3 1 0	41.49	2.176	31.0
3 1 2	58.05	1.589	21.9
2 4 0	60.13	1.539	9.6
1 2 3	67.68	1.384	13.4
5 0 1	71.48	1.320	22.6
2 4 2	73.84	1.283	10.9


No. 2
Simulated powder diffraction line list
Compound: ScCd11
Radiation: copper Kα
Structure: a cell relaxed with GGA-PBE

```
data_ScCd11
_cell_length_a 11.982
_cell_length_b 11.982
_cell_length_c 7.654
_cell_angle_alpha 90.00
_cell_angle_beta 90.00
_cell_angle_gamma 90.00
_space_group_name_H-M_alt 'I 41/a m d'
_space_group_IT_number 141
loop_
_space_group_symop_operation_xyz
'x,y,z'
'-x,-y,-z'
'-y+1/4,x+3/4,z+1/4'
'y+1/4,-x+3/4,-z+1/4'
'-x+1/2,-y,z+1/2'
'x+1/2,y,-z+1/2'
'y+1/4,-x+1/4,z+3/4'
'-y+1/4,x+1/4,-z+3/4'
'x,-y,-z'
'-x,y,z'
'-y+1/4,-x+1/4,-z+3/4'
'y+1/4,x+1/4,z+3/4'
'-x+1/2,y,-z+1/2'
'x+1/2,-y,z+1/2'
'y+1/4,x+3/4,-z+1/4'
'-y+1/4,-x+3/4,z+1/4'
'x+1/2,y+1/2,z+1/2'
'-x+1/2,-y+1/2,-z+1/2'
'-y+3/4,x+1/4,z+3/4'
'y+3/4,-x+1/4,-z+3/4'
'-x,-y+1/2,z'
'x,y+1/2,-z'
'y+3/4,-x+3/4,z+1/4'
'-y+3/4,x+3/4,-z+1/4'
'x+1/2,-y+1/2,-z+1/2'
'-x+1/2,y+1/2,z+1/2'
'-y+3/4,-x+3/4,-z+1/4'
'y+3/4,x+3/4,z+1/4'
'-x,y+1/2,-z'
'x,-y+1/2,z'
'y+3/4,x+1/4,-z+3/4'
'-y+3/4,-x+1/4,z+3/4'
loop_
_atom_site_label
_atom_site_fract_x
_atom_site_fract_y
_atom_site_fract_z
Sc1 0.000 0.250 0.375
Cd1 0.000 0.000 0.000
Cd2 0.000 0.250 0.875
Cd3 0.120 0.053 0.665
```

The 10 most intense peaks (10 to 90 degrees two-theta), by angle:
hkl	2theta	d (Å)	I/Imax
1 0 1	13.73	6.450	18.2
3 2 1	29.30	3.048	16.5
3 1 2	33.28	2.693	69.0
4 2 0	33.44	2.679	38.6
1 0 3	35.99	2.495	18.1
2 1 3	39.11	2.304	33.3
5 0 1	39.40	2.287	100.0
4 2 2	41.13	2.195	25.2
5 5 2	59.68	1.549	20.6
8 1 1	63.80	1.459	15.1


No. 3
Simulated powder diffraction line list
Compound: Sc5Cd24
Radiation: copper Kα
Structure: a cell relaxed with GGA-PBE

```
data_Sc5Cd24
_cell_length_a 10.835
_cell_length_b 10.835
_cell_length_c 10.835
_cell_angle_alpha 90.00
_cell_angle_beta 90.00
_cell_angle_gamma 90.00
_space_group_name_H-M_alt 'I -4 3 m'
_space_group_IT_number 217
_space_group_name_Hall 'I -4 2 3'
loop_
_atom_site_label
_atom_site_fract_x
_atom_site_fract_y
_atom_site_fract_z
Sc1 0.000 0.000 0.000
Sc2 0.188 0.188 0.188
Cd1 0.037 0.355 0.645
Cd2 0.090 0.090 0.720
```

The 10 most intense peaks (10 to 90 degrees two-theta), by angle:
hkl	2theta	d (Å)	I/Imax
2 1 1	20.07	4.424	10.1
4 1 1	35.14	2.554	100.0
3 3 2	38.99	2.310	35.3
4 2 2	40.80	2.212	9.3
4 3 1	42.54	2.125	31.3
5 5 0	60.41	1.532	7.6
5 5 2	63.04	1.475	29.8
6 4 2	64.34	1.448	9.8
8 2 2	74.27	1.277	11.9
6 5 5	82.57	1.168	7.4


No. 4
Simulated powder diffraction line list
Compound: Sc3Cd5
Radiation: copper Kα
Structure: a cell relaxed with GGA-PBE

```
data_Sc3Cd5
_cell_length_a 11.942
_cell_length_b 11.163
_cell_length_c 6.005
_cell_angle_alpha 90.00
_cell_angle_beta 117.48
_cell_angle_gamma 90.00
_space_group_name_H-M_alt 'C 1 2/c 1'
_space_group_IT_number 15
_space_group_name_Hall '-C 2yc'
loop_
_atom_site_label
_atom_site_fract_x
_atom_site_fract_y
_atom_site_fract_z
Sc1 0.000 0.043 0.250
Sc2 0.127 0.299 0.523
Cd1 0.000 0.463 0.750
Cd2 0.118 0.207 0.009
Cd3 0.250 0.055 0.756
```

The 10 most intense peaks (10 to 90 degrees two-theta), by angle:
hkl	2theta	d (Å)	I/Imax
1 1 -1	16.77	5.285	20.5
2 2 1	32.99	2.715	49.7
4 0 -2	35.06	2.559	66.8
2 4 -1	36.68	2.450	100.0
0 2 2	37.40	2.404	80.5
4 2 0	37.59	2.393	77.4
6 2 -1	49.05	1.857	15.3
2 6 1	57.75	1.596	30.3
6 4 -3	63.96	1.456	16.8
2 6 -3	69.26	1.357	17.3


No. 5
Simulated powder diffraction line list
Compound: Sc2Cd13
Radiation: copper Kα
Structure: a cell relaxed with GGA-PBE

```
data_Sc2Cd13
_cell_length_a 8.1965
_cell_length_b 8.1965
_cell_length_c 19.8173
_cell_angle_alpha 90.00
_cell_angle_beta 90.00
_cell_angle_gamma 120.00
_space_group_name_H-M_alt 'R -3 m'
_space_group_IT_number 166
_space_group_name_Hall '-R 3 2"'
loop_
_atom_site_label
_atom_site_fract_x
_atom_site_fract_y
_atom_site_fract_z
Sc1 0.0000 0.0000 0.2302
Cd1 0.0000 0.0000 0.5000
Cd2 0.0913 0.5456 0.3029
Cd3 0.0926 0.5463 0.5639
```

The 10 most intense peaks (10 to 90 degrees two-theta), by angle:
hkl	2theta	d (Å)	I/Imax
1 0 4	21.88	4.063	32.2
0 2 1	25.51	3.492	100.0
1 0 7	34.10	2.630	38.1
2 1 4	38.15	2.359	93.9
0 1 8	38.49	2.339	30.5
0 3 3	40.50	2.228	81.1
2 0 8	44.61	2.031	19.3
1 2 11	62.05	1.496	19.1
3 3 0	68.74	1.366	32.7
3 0 12	69.40	1.354	20.7


No. 6
Simulated powder diffraction line list
Compound: Sc2Cd13
Radiation: copper Kα
Structure: a cell relaxed with GGA-PBE

```
data_Sc2Cd13
_cell_length_a 7.8680
_cell_length_b 7.8680
_cell_length_c 22.4458
_cell_angle_alpha 90.00
_cell_angle_beta 90.00
_cell_angle_gamma 120.00
_space_group_name_H-M_alt 'R -3 m'
_space_group_IT_number 166
_space_group_name_Hall '-R 3 2"'
loop_
_atom_site_label
_atom_site_fract_x
_atom_site_fract_y
_atom_site_fract_z
Sc1 0.0000 0.0000 0.1303
Cd1 0.0000 0.0000 0.0000
Cd2 0.0823 0.5411 0.2756
Cd3 0.0828 0.5414 0.4272
```

The 10 most intense peaks (10 to 90 degrees two-theta), by angle:
hkl	2theta	d (Å)	I/Imax
0 0 6	23.77	3.744	79.8
0 2 1	26.46	3.368	23.5
0 1 8	34.57	2.594	32.2
2 1 1	35.07	2.559	100.0
1 2 2	35.77	2.510	40.3
0 2 7	38.55	2.335	75.7
1 2 5	40.38	2.234	17.8
3 0 6	46.79	1.941	47.4
3 0 12	64.54	1.444	17.6
2 3 8	68.74	1.366	19.5


No. 7
Simulated powder diffraction line list
Compound: Sc2CdSe
Radiation: copper Kα
Structure: a cell relaxed with GGA-PBE

```
data_Sc2CdSe
_cell_length_a 3.6374
_cell_length_b 3.6374
_cell_length_c 23.7023
_cell_angle_alpha 90.00
_cell_angle_beta 90.00
_cell_angle_gamma 120.00
_space_group_name_H-M_alt 'R 3 m'
_space_group_IT_number 160
_space_group_name_Hall 'R 3 -2"'
loop_
_atom_site_label
_atom_site_fract_x
_atom_site_fract_y
_atom_site_fract_z
Sc1 0.0000 0.0000 0.0000
Sc2 0.0000 0.0000 0.1928
Cd1 0.0000 0.0000 0.7635
Se1 0.0000 0.0000 0.5953
```

The 10 most intense peaks (10 to 90 degrees two-theta), by angle:
hkl	2theta	d (Å)	I/Imax
0 0 6	22.51	3.950	20.2
1 0 1	28.59	3.123	35.5
0 1 2	29.34	3.044	30.3
1 0 4	32.18	2.781	23.6
0 1 5	34.18	2.624	100.0
1 0 7	39.05	2.306	44.5
1 0 10	48.04	1.894	14.0
1 1 0	50.16	1.819	41.6
2 0 5	62.08	1.495	20.7
1 1 12	70.37	1.338	21.4


No. 8
Simulated powder diffraction line list
Compound: ScCdSe
Radiation: copper Kα
Structure: a cell relaxed with GGA-PBE

```
data_ScCdSe
_cell_length_a 3.7852
_cell_length_b 3.7852
_cell_length_c 6.1757
_cell_angle_alpha 90.00
_cell_angle_beta 90.00
_cell_angle_gamma 120.00
_space_group_name_H-M_alt 'P 3 m 1'
_space_group_IT_number 156
_space_group_name_Hall 'P 3 -2"'
loop_
_atom_site_label
_atom_site_fract_x
_atom_site_fract_y
_atom_site_fract_z
Sc1 0.0000 0.0000 0.0000
Cd1 0.3333 0.6667 0.6435
Se1 0.6667 0.3333 0.2328
```

The 10 most intense peaks (10 to 90 degrees two-theta), by angle:
hkl	2theta	d (Å)	I/Imax
0 0 2	28.91	3.088	12.4
1 0 1	30.88	2.895	100.0
0 1 2	40.12	2.248	33.3
1 1 0	48.07	1.893	24.9
1 0 3	52.49	1.743	11.4
1 1 2	57.08	1.614	10.5
0 2 1	58.24	1.584	15.4
0 1 4	67.00	1.397	8.9
1 1 3	67.19	1.393	9.3
2 1 1	78.78	1.215	12.5